Simulated powder X-ray diffraction pattern of Tb2SmTm2Sc for λ = 1.5418 Å (Cu Kα), from a PBE-relaxed structure.
Peak positions follow from Bragg's law for the DFT cell and can differ from measured ones.

The 12 most intense peaks (2θ = 10–80°), sorted by position:
2θ = 26.03°, rel. 22; 2θ = 32.15°, rel. 100; 2θ = 32.37°, rel. 87; 2θ = 32.51°, rel. 43; 2θ = 42.00°, rel. 25; 2θ = 42.11°, rel. 12; 2θ = 46.21°, rel. 12; 2θ = 46.35°, rel. 24; 2θ = 57.60°, rel. 34; 2θ = 57.78°, rel. 12; 2θ = 57.91°, rel. 16; 2θ = 64.00°, rel. 36

Structure:
Cell: 6.846 9.595 5.509 Å, 90.00 90.00 90.00°
Fractional coordinates of all 12 atoms:
Tb: 0.246 0.166 0.000
Tb: 0.254 0.666 0.500
Tb: 0.746 0.334 0.500
Tb: 0.754 0.834 0.000
Sm: 0.000 0.500 0.000
Sm: 0.500 0.000 0.500
Tm: 0.249 0.833 0.000
Tm: 0.251 0.333 0.500
Tm: 0.749 0.667 0.500
Tm: 0.751 0.167 0.000
Sc: 0.000 0.000 0.500
Sc: 0.500 0.500 0.000

=====

Simulated powder X-ray diffraction pattern of YTm2PaCo2 for λ = 1.5418 Å (Cu Kα), from a PBE-relaxed structure.
Peak positions follow from Bragg's law for the DFT cell and can differ from measured ones.

The 12 most intense peaks (2θ = 10–80°), sorted by position:
2θ = 14.73°, rel. 72; 2θ = 28.48°, rel. 26; 2θ = 29.72°, rel. 79; 2θ = 30.17°, rel. 24; 2θ = 30.30°, rel. 100; 2θ = 34.20°, rel. 66; 2θ = 36.48°, rel. 21; 2θ = 36.84°, rel. 23; 2θ = 37.59°, rel. 81; 2θ = 47.49°, rel. 23; 2θ = 47.83°, rel. 23; 2θ = 52.09°, rel. 20

Structure:
Cell: 7.886 7.886 7.886 Å, 128.51 74.75 129.82°
Fractional coordinates of all 12 atoms:
Y: 0.250 0.250 0.000
Y: 0.750 0.750 0.000
Tm: 0.204 0.687 0.892
Tm: 0.296 0.187 0.483
Tm: 0.704 0.813 0.517
Tm: 0.796 0.313 0.108
Pa: 0.250 0.750 0.500
Pa: 0.750 0.250 0.500
Co: 0.093 0.298 0.391
Co: 0.407 0.798 0.206
Co: 0.593 0.202 0.794
Co: 0.907 0.702 0.609

=====

Simulated powder X-ray diffraction pattern of Co3Ir5 for λ = 1.5418 Å (Cu Kα), from a PBE-relaxed structure.
Peak positions follow from Bragg's law for the DFT cell and can differ from measured ones.

The 12 most intense peaks (2θ = 10–80°), sorted by position:
2θ = 20.03°, rel. 14; 2θ = 28.97°, rel. 8; 2θ = 38.73°, rel. 12; 2θ = 38.85°, rel. 29; 2θ = 42.15°, rel. 39; 2θ = 44.31°, rel. 51; 2θ = 44.42°, rel. 100; 2θ = 58.60°, rel. 15; 2θ = 70.18°, rel. 17; 2θ = 70.42°, rel. 9; 2θ = 78.59°, rel. 19; 2θ = 78.65°, rel. 10

Structure:
Cell: 6.867 6.867 5.055 Å, 108.89 108.89 85.25°
Fractional coordinates of all 16 atoms:
Co: 0.043 0.957 0.750
Co: 0.164 0.586 0.502
Co: 0.414 0.836 0.998
Co: 0.586 0.164 0.002
Co: 0.836 0.414 0.498
Co: 0.957 0.043 0.250
Ir: 0.085 0.670 0.997
Ir: 0.202 0.287 0.742
Ir: 0.287 0.202 0.242
Ir: 0.330 0.915 0.503
Ir: 0.459 0.541 0.250
Ir: 0.541 0.459 0.750
Ir: 0.670 0.085 0.497
Ir: 0.713 0.798 0.758
Ir: 0.798 0.713 0.258
Ir: 0.915 0.330 0.003

=====

Simulated powder X-ray diffraction pattern of NpTlOsO6 for λ = 1.5418 Å (Cu Kα), from a PBE-relaxed structure.
Peak positions follow from Bragg's law for the DFT cell and can differ from measured ones.

The 12 most intense peaks (2θ = 10–80°), sorted by position:
2θ = 14.74°, rel. 18; 2θ = 23.61°, rel. 21; 2θ = 27.25°, rel. 58; 2θ = 27.56°, rel. 18; 2θ = 27.92°, rel. 37; 2θ = 28.33°, rel. 100; 2θ = 29.72°, rel. 25; 2θ = 44.81°, rel. 13; 2θ = 45.25°, rel. 13; 2θ = 48.31°, rel. 39; 2θ = 55.15°, rel. 12; 2θ = 58.60°, rel. 14

Structure:
Cell: 7.545 7.545 7.545 Å, 122.34 117.71 90.00°
Fractional coordinates of all 18 atoms:
Np: 0.000 0.000 0.000
Np: 0.500 0.000 0.500
Tl: 0.394 0.644 0.750
Tl: 0.606 0.356 0.250
Os: 0.000 0.000 0.500
Os: 0.000 0.500 0.000
O: 0.039 0.289 0.750
O: 0.053 0.329 0.134
O: 0.053 0.919 0.724
O: 0.305 0.081 0.634
O: 0.305 0.671 0.224
O: 0.330 0.080 0.250
O: 0.670 0.920 0.750
O: 0.695 0.329 0.776
O: 0.695 0.919 0.366
O: 0.947 0.081 0.276
O: 0.947 0.671 0.866
O: 0.961 0.711 0.250

=====

Simulated powder X-ray diffraction pattern of Ba6NaCu2 for λ = 1.5418 Å (Cu Kα), from a PBE-relaxed structure.
Peak positions follow from Bragg's law for the DFT cell and can differ from measured ones.

The 12 most intense peaks (2θ = 10–80°), sorted by position:
2θ = 10.72°, rel. 34; 2θ = 23.41°, rel. 21; 2θ = 24.61°, rel. 22; 2θ = 26.07°, rel. 100; 2θ = 27.81°, rel. 31; 2θ = 27.98°, rel. 43; 2θ = 28.24°, rel. 31; 2θ = 28.78°, rel. 34; 2θ = 43.46°, rel. 21; 2θ = 44.69°, rel. 18; 2θ = 46.78°, rel. 29; 2θ = 48.38°, rel. 23

Structure:
Cell: 10.273 10.273 10.273 Å, 112.75 108.55 107.16°
Fractional coordinates of all 18 atoms:
Ba: 0.007 0.219 0.788
Ba: 0.182 0.301 0.483
Ba: 0.182 0.699 0.882
Ba: 0.318 0.012 0.694
Ba: 0.318 0.624 0.306
Ba: 0.431 0.219 0.212
Ba: 0.569 0.781 0.788
Ba: 0.682 0.376 0.694
Ba: 0.682 0.988 0.306
Ba: 0.818 0.301 0.118
Ba: 0.818 0.699 0.517
Ba: 0.993 0.781 0.212
Na: 0.000 0.000 0.000
Na: 0.500 0.500 0.000
Cu: 0.104 0.604 0.500
Cu: 0.394 0.000 0.394
Cu: 0.606 0.000 0.606
Cu: 0.896 0.396 0.500

=====

Simulated powder X-ray diffraction pattern of Sr2BeCu for λ = 1.5418 Å (Cu Kα), from a PBE-relaxed structure.
Peak positions follow from Bragg's law for the DFT cell and can differ from measured ones.

The 12 most intense peaks (2θ = 10–80°), sorted by position:
2θ = 12.16°, rel. 35; 2θ = 22.56°, rel. 45; 2θ = 24.47°, rel. 19; 2θ = 27.75°, rel. 62; 2θ = 28.53°, rel. 16; 2θ = 32.63°, rel. 100; 2θ = 37.32°, rel. 25; 2θ = 37.93°, rel. 25; 2θ = 42.09°, rel. 17; 2θ = 44.25°, rel. 15; 2θ = 53.04°, rel. 19; 2θ = 57.93°, rel. 14

Structure:
Cell: 7.858 7.858 7.858 Å, 149.80 148.29 44.36°
Fractional coordinates of all 4 atoms:
Sr: 0.000 0.000 0.000
Sr: 0.752 0.252 0.500
Be: 0.406 0.406 0.000
Cu: 0.346 0.846 0.500

=====

Simulated powder X-ray diffraction pattern of Sr7Tl2Sn2 for λ = 1.5418 Å (Cu Kα), from a PBE-relaxed structure.
Peak positions follow from Bragg's law for the DFT cell and can differ from measured ones.

The 12 most intense peaks (2θ = 10–80°), sorted by position:
2θ = 17.54°, rel. 50; 2θ = 23.31°, rel. 73; 2θ = 23.99°, rel. 30; 2θ = 28.82°, rel. 51; 2θ = 29.33°, rel. 18; 2θ = 31.61°, rel. 52; 2θ = 32.77°, rel. 100; 2θ = 33.99°, rel. 29; 2θ = 37.40°, rel. 34; 2θ = 39.99°, rel. 24; 2θ = 41.29°, rel. 20; 2θ = 53.44°, rel. 21

Structure:
Cell: 7.508 7.508 8.745 Å, 90.00 90.00 111.20°
Fractional coordinates of all 11 atoms:
Sr: 0.000 0.000 0.000
Sr: 0.000 0.500 0.288
Sr: 0.000 0.500 0.712
Sr: 0.500 0.000 0.288
Sr: 0.500 0.000 0.712
Sr: 0.500 0.500 0.254
Sr: 0.500 0.500 0.746
Tl: 0.287 0.713 0.000
Tl: 0.713 0.287 0.000
Sn: 0.179 0.179 0.500
Sn: 0.821 0.821 0.500

=====

Simulated powder X-ray diffraction pattern of Ca2Zn5Ga3 for λ = 1.5418 Å (Cu Kα), from a PBE-relaxed structure.
Peak positions follow from Bragg's law for the DFT cell and can differ from measured ones.

The 12 most intense peaks (2θ = 10–80°), sorted by position:
2θ = 16.08°, rel. 34; 2θ = 22.70°, rel. 45; 2θ = 32.41°, rel. 61; 2θ = 34.28°, rel. 77; 2θ = 34.44°, rel. 76; 2θ = 43.17°, rel. 100; 2θ = 44.86°, rel. 48; 2θ = 44.98°, rel. 47; 2θ = 46.55°, rel. 44; 2θ = 62.51°, rel. 16; 2θ = 62.90°, rel. 15; 2θ = 65.45°, rel. 17

Structure:
Cell: 8.610 8.610 8.610 Å, 100.40 93.31 139.62°
Fractional coordinates of all 20 atoms:
Ca: 0.124 0.249 0.373
Ca: 0.376 0.749 0.125
Ca: 0.624 0.251 0.875
Ca: 0.876 0.751 0.627
Zn: 0.000 0.250 0.750
Zn: 0.000 0.750 0.250
Zn: 0.126 0.863 0.989
Zn: 0.250 0.750 0.500
Zn: 0.374 0.363 0.738
Zn: 0.500 0.250 0.250
Zn: 0.500 0.750 0.750
Zn: 0.626 0.637 0.262
Zn: 0.750 0.250 0.500
Zn: 0.874 0.137 0.011
Ga: 0.127 0.638 0.764
Ga: 0.250 0.250 0.000
Ga: 0.373 0.138 0.511
Ga: 0.627 0.862 0.489
Ga: 0.750 0.750 0.000
Ga: 0.873 0.362 0.236